(1)
Starting from the PBE geometry in Alexandria, the X-ray diffraction stick pattern of Ca2As5Pd3 was computed for a wavelength of 1.5418 Å.

Atomic structure:
Cell: 8.526 8.526 8.526 Å, 105.29 92.10 134.39°
Fractional coordinates of all 20 atoms:
Ca1 0.125 0.227 0.352
Ca2 0.375 0.727 0.102
Ca3 0.625 0.273 0.898
Ca4 0.875 0.773 0.648
As1 0.026 0.750 0.276
As2 0.109 0.653 0.761
As3 0.250 0.250 0.000
As4 0.391 0.153 0.544
As5 0.474 0.750 0.724
As6 0.526 0.250 0.276
As7 0.609 0.847 0.456
As8 0.750 0.750 0.000
As9 0.891 0.347 0.239
As10 0.974 0.250 0.724
Pd1 0.143 0.889 0.032
Pd2 0.250 0.750 0.500
Pd3 0.357 0.389 0.746
Pd4 0.643 0.611 0.254
Pd5 0.750 0.250 0.500
Pd6 0.857 0.111 0.968

Peak list (10 most intense, 2θ from 10° to 80°, low angle first)
17.1°, I = 51.2; 21.9°, I = 59.3; 32.1°, I = 70.2; 33.0°, I = 61.7; 34.9°, I = 47.9; 40.9°, I = 100.0; 44.5°, I = 52.1; 44.7°, I = 22.9; 46.6°, I = 36.5; 55.6°, I = 26.6

(2)
Starting from the PBE geometry in Alexandria, the X-ray diffraction stick pattern of Rb2SI7 was computed for a wavelength of 1.5418 Å.

Atomic structure:
Cell: 8.689 8.689 8.689 Å, 122.00 122.00 86.57°
Fractional coordinates of all 10 atoms:
Rb1 0.250 0.750 0.500
Rb2 0.750 0.250 0.500
S1 0.000 0.000 0.000
I1 0.218 0.218 0.000
I2 0.240 0.240 0.479
I3 0.240 0.760 0.000
I4 0.500 0.500 0.000
I5 0.760 0.240 0.000
I6 0.760 0.760 0.521
I7 0.782 0.782 0.000

Peak list (10 most intense, 2θ from 10° to 80°, low angle first)
14.9°, I = 18.9; 25.4°, I = 100.0; 28.2°, I = 35.4; 30.0°, I = 68.5; 31.8°, I = 14.2; 41.7°, I = 47.6; 42.9°, I = 26.5; 50.5°, I = 28.5; 52.2°, I = 23.9; 77.8°, I = 14.1

(3)
Starting from the PBE geometry in Alexandria, the X-ray diffraction stick pattern of Ni3HgGe was computed for a wavelength of 1.5418 Å.

Atomic structure:
Cell: 4.360 4.360 4.360 Å, 90.00 90.00 90.00°
Fractional coordinates of all 5 atoms:
Ni1 0.000 0.000 0.500
Ni2 0.000 0.500 0.000
Ni3 0.500 0.000 0.000
Hg1 0.500 0.500 0.500
Ge1 0.000 0.000 0.000

Peak list (10 most intense, 2θ from 10° to 80°, low angle first)
20.4°, I = 8.1; 29.0°, I = 100.0; 35.7°, I = 90.9; 41.4°, I = 96.8; 46.6°, I = 5.0; 51.3°, I = 42.7; 60.0°, I = 62.9; 68.0°, I = 18.9; 71.8°, I = 33.7; 75.5°, I = 21.0

Q: What is the formula in the first record?
A: Ca2As5Pd3